Record 1
Structure and simulated powder X-ray diffraction pattern of AcZn2PtRh (a PBE-relaxed structure; Cu Kα (weighted mean of Kα1 and Kα2)).
Intensities are scaled so that the largest is 100.

a = 4.0381 Å, b = 4.2526 Å, c = 11.7219 Å
α = 90.00°, β = 90.00°, γ = 90.00°
Fractional positions:
Ac 0.0000 0.0000 0.0000
Ac 0.5000 0.5000 0.5000
Zn 0.0000 0.0000 0.3629
Zn 0.0000 0.5000 0.2290
Zn 0.5000 0.0000 0.7290
Zn 0.5000 0.5000 0.8629
Pt 0.0000 0.5000 0.7289
Pt 0.5000 0.0000 0.2289
Rh 0.0000 0.0000 0.5793
Rh 0.5000 0.5000 0.0793

Most intense lines, 10 to 80 degrees two-theta, by angle:
2θ 30.5, 2.930 Å, I = 18
2θ 31.1, 2.877 Å, I = 20
2θ 31.9, 2.808 Å, I = 23
2θ 34.2, 2.620 Å, I = 100
2θ 42.5, 2.126 Å, I = 22
2θ 44.9, 2.019 Å, I = 19

---

Record 2
Structure and simulated powder X-ray diffraction pattern of Pm2Pr8Ho (a PBE-relaxed structure; Cu Kα (weighted mean of Kα1 and Kα2)).
Intensities are scaled so that the largest is 100.

a = 9.1638 Å, b = 9.1638 Å, c = 6.8431 Å
α = 100.29°, β = 100.29°, γ = 44.39°
Fractional positions:
Pm 0.1937 0.1937 0.3077
Pm 0.8063 0.8063 0.6923
Pr 0.1770 0.6517 0.0965
Pr 0.2435 0.2435 0.8184
Pr 0.3483 0.8230 0.9035
Pr 0.4064 0.4064 0.5825
Pr 0.5936 0.5936 0.4175
Pr 0.6517 0.1770 0.0965
Pr 0.7565 0.7565 0.1816
Pr 0.8230 0.3483 0.9035
Ho 0.0000 0.0000 0.5000

Most intense lines, 10 to 80 degrees two-theta, by angle:
2θ 29.0, 3.076 Å, I = 83
2θ 29.8, 3.001 Å, I = 65
2θ 30.4, 2.937 Å, I = 53
2θ 30.6, 2.924 Å, I = 100
2θ 31.2, 2.871 Å, I = 84
2θ 31.9, 2.807 Å, I = 93